Theoretical powder diffraction line list
Compound: MnFe2Ag
Radiation: a wavelength of 1.5418 Å
Structure: a structure optimized by DFT (GGA-PBE)
Peak positions follow from Bragg's law for the DFT cell and can differ from measured ones.

Top 10 peaks for 10 to 90 degrees two-theta, low angle first:
| 2θ/deg | d/Å | I (rel.) | hkl |
| --- | --- | --- | --- |
| 11.55 | 7.664 | 7 | 0 0 1 |
| 35.13 | 2.555 | 8 | 0 0 3 |
| 36.41 | 2.467 | 12 | 1 0 1 |
| 41.92 | 2.155 | 100 | 1 0 2 |
| 47.45 | 1.916 | 14 | 0 0 4 |
| 49.46 | 1.843 | 32 | 1 1 0 |
| 70.96 | 1.328 | 16 | 1 1 4 |
| 72.54 | 1.303 | 9 | 2 0 0 |
| 84.46 | 1.147 | 7 | 1 0 6 |
| 87.47 | 1.115 | 21 | 2 1 2 |

Crystal structure
Unit cell a=2.606 b=2.606 c=7.664 alpha=90.00 beta=90.00 gamma=90.00
Space group P4/mmm (No. 123)
Unique sites:
Mn1 0.000 0.000 0.000
Fe1 0.500 0.500 0.220
Ag1 0.000 0.000 0.500